Record 1
Structure and simulated XRD peak list of Ac3PmNd4 (a DFT-relaxed cell (GGA-PBE, Alexandria); Cu Kα (weighted mean of Kα1 and Kα2)).
Lines closer than 0.1° are merged.

Top 8 peaks for 2θ from 5° to 70°, by intensity:
d [Å]	I/Imax
3.094	100.0
2.668	33.7
1.611	29.8
1.898	25.2
2.702	17.5
1.625	15.4
1.547	13.1
1.887	12.3

Structural model:
a = 10.806 Å, b = 7.548 Å, c = 7.546 Å
α = 90.00°, β = 90.00°, γ = 90.00°
Fractional positions:
1 Ac 0.000 0.000 0.000
2 Ac 0.250 0.256 0.250
3 Ac 0.250 0.744 0.750
4 Ac 0.500 0.000 0.500
5 Ac 0.750 0.256 0.250
6 Ac 0.750 0.744 0.750
7 Pm 0.000 0.500 0.500
8 Pm 0.500 0.500 0.000
9 Nd 0.000 0.000 0.500
10 Nd 0.000 0.500 0.000
11 Nd 0.250 0.251 0.750
12 Nd 0.250 0.749 0.250
13 Nd 0.500 0.000 0.000
14 Nd 0.500 0.500 0.500
15 Nd 0.750 0.251 0.750
16 Nd 0.750 0.749 0.250



Record 2
Structure and simulated XRD peak list of U5S5O2 (a DFT-relaxed cell (GGA-PBE, Alexandria); Cu Kα (weighted mean of Kα1 and Kα2)).
Lines closer than 0.1° are merged.

Top 8 peaks for 2θ from 5° to 70°, by intensity:
d [Å]	I/Imax
2.759	100.0
3.408	85.0
3.289	73.4
3.233	42.1
3.101	41.1
2.631	39.1
1.846	34.2
2.137	27.7

Structural model:
a = 6.478 Å, b = 6.478 Å, c = 10.535 Å
α = 108.52°, β = 108.52°, γ = 33.30°
Fractional positions:
1 U 0.000 0.000 0.000
2 U 0.107 0.107 0.402
3 U 0.338 0.338 0.216
4 U 0.662 0.662 0.784
5 U 0.893 0.893 0.598
6 S 0.258 0.258 0.655
7 S 0.333 0.333 0.946
8 S 0.500 0.500 0.500
9 S 0.667 0.667 0.054
10 S 0.742 0.742 0.345
11 O 0.036 0.036 0.795
12 O 0.964 0.964 0.205